This entry pairs a crystal structure of Li4MnP2O8 with its computed powder diffractogram. Radiation: Cu Kα X-rays. Structure: a crystal structure in the Materials Project, relaxed with PBE+U.
Kinematic intensities with the Lorentz-polarization factor, no thermal factor.

Most intense lines, 2θ from 10° to 90°, sorted by position:
2theta, d (Å), I_rel, hkl
17.1, 5.181, 62.0, 0 1 0
21.5, 4.132, 100.0, 0 1 -1
23.9, 3.727, 55.8, 1 0 1
26.6, 3.355, 19.0, 1 1 0
31.6, 2.828, 34.8, 1 1 1
32.7, 2.735, 32.2, 1 0 -2
35.4, 2.535, 26.5, 1 0 2
36.8, 2.444, 26.9, 1 -2 0
37.4, 2.407, 26.3, 1 1 -2
40.0, 2.252, 20.1, -1 2 1

Structure:
abc: 5.0335 5.2451 6.2327
angles: 93.70 94.26 97.88
Element x y z (fractional)
Li: 0.1379 0.3785 0.2906
Li: 0.3464 0.7061 0.9880
Li: 0.6536 0.2939 0.0120
Li: 0.8621 0.6215 0.7094
Mn: 0.5000 0.0000 0.5000
P: 0.1336 0.1814 0.7700
P: 0.8664 0.8186 0.2300
O: 0.1734 0.7994 0.2551
O: 0.1988 0.8973 0.7573
O: 0.2581 0.3250 0.9872
O: 0.2724 0.3090 0.5794
O: 0.7276 0.6910 0.4206
O: 0.7419 0.6750 0.0128
O: 0.8012 0.1027 0.2427
O: 0.8266 0.2006 0.7449

This entry pairs a crystal structure of LiMnPO4 with its computed powder diffractogram. Radiation: Cu Kα X-rays. Structure: a crystal structure in the Materials Project, relaxed with PBE+U.
Kinematic intensities with the Lorentz-polarization factor, no thermal factor.

Most intense lines, 2θ from 10° to 90°, sorted by position:
2theta, d (Å), I_rel, hkl
13.2, 6.691, 100.0, 1 1 0
16.2, 5.462, 26.1, 2 0 0
19.3, 4.589, 21.5, 2 1 0
20.0, 4.438, 49.9, 0 1 1
26.6, 3.345, 27.4, 3 1 0
28.4, 3.147, 27.5, 1 2 1
31.8, 2.815, 14.6, 2 2 1
32.8, 2.732, 9.2, 4 0 0
34.4, 2.606, 16.0, 0 0 2
37.2, 2.420, 10.6, 1 3 1

Structure:
abc: 10.9233 8.4658 5.2121
angles: 90.00 90.00 90.00
Element x y z (fractional)
Li: 0.2474 0.1981 0.0000
Li: 0.2526 0.6981 0.5000
Li: 0.7474 0.3019 0.0000
Li: 0.7526 0.8019 0.5000
Mn: 0.1185 0.3504 0.5191
Mn: 0.3815 0.8504 0.0191
Mn: 0.6185 0.1496 0.5191
Mn: 0.8815 0.6496 0.0191
P: 0.1816 0.5552 0.0246
P: 0.3184 0.0552 0.5246
P: 0.6816 0.9448 0.0246
P: 0.8184 0.4448 0.5246
O: 0.0625 0.6417 0.0961
O: 0.1806 0.3852 0.1433
O: 0.1988 0.5386 0.7292
O: 0.2096 0.1494 0.6438
O: 0.2904 0.6494 0.1438
O: 0.3012 0.0386 0.2292
O: 0.3194 0.8852 0.6433
O: 0.4375 0.1417 0.5961
O: 0.5625 0.8583 0.0961
O: 0.6806 0.1148 0.1433
O: 0.6988 0.9614 0.7292
O: 0.7096 0.3506 0.6438
O: 0.7904 0.8506 0.1438
O: 0.8012 0.4614 0.2292
O: 0.8194 0.6148 0.6433
O: 0.9375 0.3583 0.5961

This entry pairs a crystal structure of LiMnP2O7 with its computed powder diffractogram. Radiation: Cu Kα X-rays. Structure: a crystal structure in the Materials Project, relaxed with PBE+U.
Kinematic intensities with the Lorentz-polarization factor, no thermal factor.

Most intense lines, 2θ from 10° to 90°, sorted by position:
2theta, d (Å), I_rel, hkl
14.4, 6.159, 38.0, 0 1 0
16.4, 5.400, 99.9, 1 0 1
20.0, 4.440, 25.6, 1 1 0
20.4, 4.358, 65.1, 0 1 -1
26.3, 3.385, 100.0, 0 0 2
29.2, 3.061, 50.2, 2 0 1
30.6, 2.919, 40.8, 2 1 1
30.8, 2.907, 72.5, 0 2 1
33.1, 2.709, 38.0, 0 2 -1
35.0, 2.564, 37.6, 1 0 -2

Structure:
abc: 6.2096 6.2479 7.2723
angles: 82.17 69.25 81.92
Element x y z (fractional)
Li: 0.2056 0.0085 0.3451
Li: 0.7944 0.9915 0.6549
Mn: 0.3996 0.3529 0.7471
Mn: 0.6004 0.6471 0.2529
P: 0.1518 0.6095 0.1425
P: 0.2831 0.8602 0.7411
P: 0.7169 0.1398 0.2589
P: 0.8482 0.3905 0.8575
O: 0.1019 0.3970 0.7210
O: 0.1133 0.9398 0.6372
O: 0.1394 0.7971 0.9696
O: 0.2658 0.3996 0.0519
O: 0.2838 0.6977 0.2565
O: 0.4384 0.0349 0.7416
O: 0.4465 0.6572 0.6590
O: 0.5535 0.3428 0.3410
O: 0.5616 0.9651 0.2584
O: 0.7162 0.3023 0.7435
O: 0.7342 0.6004 0.9481
O: 0.8606 0.2029 0.0304
O: 0.8867 0.0602 0.3628
O: 0.8981 0.6030 0.2790